No. 1
The following is a simulated XRD peak list of Li4Cr3Sn3Te2O16. It was derived from a DFT-relaxed cell (PBE+U, Alexandria), using Cu Kα (λ = 1.5418 Å).
No peak broadening, texture or thermal motion is included.

Top 8 peaks for 10 to 80 degrees two-theta, by intensity:
2θ 18.46, 4.807 Å, intensity 100
2θ 18.23, 4.867 Å, intensity 91
2θ 33.13, 2.704 Å, intensity 81
2θ 17.47, 5.077 Å, intensity 68
2θ 18.68, 4.750 Å, intensity 67
2θ 33.74, 2.656 Å, intensity 64
2θ 34.40, 2.607 Å, intensity 58
2θ 24.24, 3.671 Å, intensity 56

Cell and atoms:
```
data_Li4Cr3Sn3Te2O16
_chemical_formula_sum 'Li4 Cr3 Sn3 Te2 O16'
_space_group_name_H-M_alt 'P 1'
_space_group_IT_number 1
_cell_length_a 6.288
_cell_length_b 6.288
_cell_length_c 10.158
_cell_angle_alpha 91.44
_cell_angle_beta 91.44
_cell_angle_gamma 59.45
loop_
_space_group_symop_operation_xyz
'x,y,z'
loop_
_atom_site_label
_atom_site_fract_x
_atom_site_fract_y
_atom_site_fract_z
_atom_site_occupancy
Li1 0.000 0.000 0.000 1
Li2 0.007 0.007 0.493 1
Li3 0.326 0.326 0.094 1
Li4 0.668 0.668 0.577 1
Cr1 0.167 0.167 0.779 1
Cr2 0.335 0.835 0.276 1
Cr3 0.835 0.335 0.276 1
Sn1 0.166 0.663 0.772 1
Sn2 0.663 0.166 0.772 1
Sn3 0.833 0.833 0.276 1
Te1 0.325 0.325 0.495 1
Te2 0.650 0.650 0.009 1
O1 0.003 0.003 0.180 1
O2 0.004 0.004 0.676 1
O3 0.041 0.489 0.634 1
O4 0.156 0.156 0.391 1
O5 0.163 0.698 0.385 1
O6 0.313 0.821 0.903 1
O7 0.332 0.332 0.880 1
O8 0.488 0.488 0.656 1
O9 0.489 0.041 0.634 1
O10 0.504 0.967 0.160 1
O11 0.520 0.520 0.150 1
O12 0.666 0.666 0.377 1
O13 0.698 0.163 0.385 1
O14 0.821 0.313 0.903 1
O15 0.846 0.846 0.878 1
O16 0.967 0.504 0.160 1
```


No. 2
The following is a simulated XRD peak list of Li4V3Cr3Sn2O16. It was derived from a DFT-relaxed cell (PBE+U, Alexandria), using Cu Kα (λ = 1.5418 Å).
No peak broadening, texture or thermal motion is included.

Top 8 peaks for 10 to 80 degrees two-theta, by intensity:
2θ 19.34, 4.589 Å, intensity 100
2θ 19.46, 4.561 Å, intensity 97
2θ 35.10, 2.557 Å, intensity 54
2θ 32.43, 2.761 Å, intensity 52
2θ 25.01, 3.560 Å, intensity 39
2θ 59.14, 1.562 Å, intensity 39
2θ 35.99, 2.496 Å, intensity 37
2θ 35.22, 2.548 Å, intensity 36

Cell and atoms:
```
data_Li4V3Cr3Sn2O16
_chemical_formula_sum 'Li4 V3 Cr3 Sn2 O16'
_space_group_name_H-M_alt 'P 1'
_space_group_IT_number 1
_cell_length_a 5.943
_cell_length_b 5.997
_cell_length_c 9.769
_cell_angle_alpha 89.86
_cell_angle_beta 89.67
_cell_angle_gamma 60.30
loop_
_space_group_symop_operation_xyz
'x,y,z'
loop_
_atom_site_label
_atom_site_fract_x
_atom_site_fract_y
_atom_site_fract_z
_atom_site_occupancy
Li1 0.000 0.000 0.000 1
Li2 0.001 0.999 0.501 1
Li3 0.346 0.330 0.099 1
Li4 0.679 0.663 0.597 1
V1 0.176 0.658 0.782 1
V2 0.660 0.172 0.775 1
V3 0.835 0.826 0.275 1
Cr1 0.175 0.167 0.780 1
Cr2 0.345 0.829 0.281 1
Cr3 0.837 0.337 0.280 1
Sn1 0.335 0.331 0.501 1
Sn2 0.671 0.662 0.002 1
O1 0.000 0.992 0.187 1
O2 0.043 0.478 0.657 1
O3 0.163 0.678 0.396 1
O4 0.164 0.156 0.395 1
O5 0.326 0.835 0.893 1
O6 0.363 0.312 0.888 1
O7 0.493 0.032 0.655 1
O8 0.498 0.474 0.654 1
O9 0.523 0.517 0.158 1
O10 0.528 0.963 0.156 1
O11 0.683 0.157 0.393 1
O12 0.683 0.673 0.385 1
O13 0.844 0.317 0.896 1
O14 0.844 0.834 0.893 1
O15 0.975 0.520 0.156 1
O16 0.989 0.011 0.687 1
```


No. 3
The following is a simulated XRD peak list of Sr2LiZrCrO6. It was derived from a DFT-relaxed cell (PBE+U, Alexandria), using Cu Kα (λ = 1.5418 Å).
No peak broadening, texture or thermal motion is included.

Top 8 peaks for 10 to 80 degrees two-theta, by intensity:
2θ 30.66, 2.916 Å, intensity 100
2θ 44.25, 2.047 Å, intensity 70
2θ 31.32, 2.856 Å, intensity 61
2θ 30.45, 2.936 Å, intensity 60
2θ 29.94, 2.985 Å, intensity 49
2θ 30.07, 2.971 Å, intensity 49
2θ 42.61, 2.122 Å, intensity 35
2θ 54.65, 1.679 Å, intensity 22

Cell and atoms:
```
data_Sr2LiZrCrO6
_chemical_formula_sum 'Sr2 Li1 Zr1 Cr1 O6'
_space_group_name_H-M_alt 'P 1'
_space_group_IT_number 1
_cell_length_a 5.712
_cell_length_b 5.828
_cell_length_c 5.874
_cell_angle_alpha 61.14
_cell_angle_beta 89.91
_cell_angle_gamma 60.84
loop_
_space_group_symop_operation_xyz
'x,y,z'
loop_
_atom_site_label
_atom_site_fract_x
_atom_site_fract_y
_atom_site_fract_z
_atom_site_occupancy
Sr1 0.000 0.000 0.000 1
Sr2 0.445 0.140 0.408 1
Li1 0.773 0.544 0.574 1
Zr1 0.213 0.583 0.666 1
Cr1 0.701 0.588 0.132 1
O1 0.404 0.596 0.945 1
O2 0.460 0.637 0.393 1
O3 0.490 0.082 0.878 1
O4 0.907 0.549 0.856 1
O5 0.923 0.091 0.399 1
O6 0.993 0.568 0.360 1
```